No. 1
Structure and simulated powder diffraction line list of Li4TlTcO6 (a crystal structure in OQMD, relaxed with GGA-PBE; Cu Kα, 1.54184 Å).
Lines closer than 0.1° are merged.

Cell and atoms:
Lattice parameters (Å, degrees): 5.3727 5.3727 5.1931 99.99 99.99 120.07
Element x y z (fractional)
Li1 0.0000 0.0000 0.0000
Li2 0.3536 0.6464 0.0000
Li3 0.6827 0.3173 0.0000
Li4 0.8420 0.1580 0.5000
Tl1 0.1779 0.8221 0.5000
Tc1 0.5099 0.4901 0.5000
O1 0.1212 0.4008 0.2526
O2 0.2781 0.2749 0.7309
O3 0.4383 0.1184 0.2534
O4 0.5992 0.8788 0.7474
O5 0.7251 0.7219 0.2691
O6 0.8816 0.5617 0.7466

Largest 12 diffraction maxima, sorted by position, 5 to 70 degrees two-theta:
2theta	Rel. int.
18.2	100
19.1	26
20.1	50
22.6	38
26.5	26
31.2	18
33.9	62
35.6	33
41.7	70
45.9	17
59.6	22
62.9	14

***

No. 2
Structure and simulated powder diffraction line list of YTmSnC (a crystal structure in OQMD, relaxed with GGA-PBE; Cu Kα, 1.54184 Å).
Lines closer than 0.1° are merged.

Cell and atoms:
Lattice parameters (Å, degrees): 3.6024 3.6024 15.7058 90.00 90.00 120.00
Element x y z (fractional)
Y1 0.3333 0.6667 0.0859
Y2 0.6667 0.3333 0.9141
Tm1 0.3333 0.6667 0.4170
Tm2 0.6667 0.3333 0.5830
Sn1 0.3333 0.6667 0.7470
Sn2 0.6667 0.3333 0.2530
C1 0.0000 0.0000 0.0000
C2 0.0000 0.0000 0.5000

Largest 12 diffraction maxima, sorted by position, 5 to 70 degrees two-theta:
2theta	Rel. int.
5.6	37
28.6	22
30.8	3
33.4	100
34.3	20
36.8	4
45.2	16
50.7	22
59.2	3
60.8	18
62.1	17
62.6	21

***

No. 3
Structure and simulated powder diffraction line list of NaNiAgTe2Se (a crystal structure in OQMD, relaxed with GGA-PBE; Cu Kα, 1.54184 Å).
Lines closer than 0.1° are merged.

Cell and atoms:
Lattice parameters (Å, degrees): 6.9076 6.9076 10.7406 90.00 90.00 147.34
Element x y z (fractional)
Na1 0.2473 0.7527 0.7500
Na2 0.7527 0.2473 0.2500
Ni1 0.5000 0.5000 0.0000
Ni2 0.5000 0.5000 0.5000
Ag1 0.0690 0.9310 0.2500
Ag2 0.9310 0.0690 0.7500
Te1 0.1306 0.8694 0.0101
Te2 0.1306 0.8694 0.4899
Te3 0.8694 0.1306 0.5101
Te4 0.8694 0.1306 0.9899
Se1 0.4316 0.5684 0.2500
Se2 0.5684 0.4316 0.7500

Largest 12 diffraction maxima, sorted by position, 5 to 70 degrees two-theta:
2theta	Rel. int.
13.4	70
23.9	29
30.6	55
31.8	100
33.4	95
35.0	84
39.9	27
44.3	32
45.9	34
46.8	37
58.3	29
58.7	39

***

No. 4
Structure and simulated powder diffraction line list of SmHoFe8B2 (a crystal structure in OQMD, relaxed with GGA-PBE; Cu Kα, 1.54184 Å).
Lines closer than 0.1° are merged.

Cell and atoms:
Lattice parameters (Å, degrees): 5.0773 5.0773 7.0320 90.00 90.00 120.00
Element x y z (fractional)
Sm1 0.0000 0.0000 0.0000
Ho1 0.0000 0.0000 0.5000
Fe1 0.0000 0.5000 0.2881
Fe2 0.0000 0.5000 0.7119
Fe3 0.3333 0.6667 0.0000
Fe4 0.5000 0.0000 0.2881
Fe5 0.5000 0.0000 0.7119
Fe6 0.5000 0.5000 0.2881
Fe7 0.5000 0.5000 0.7119
Fe8 0.6667 0.3333 0.0000
B1 0.3333 0.6667 0.5000
B2 0.6667 0.3333 0.5000

Largest 12 diffraction maxima, sorted by position, 5 to 70 degrees two-theta:
2theta	Rel. int.
20.2	18
32.6	94
35.4	33
38.4	8
41.1	73
43.1	8
44.0	100
52.0	14
61.7	30
64.5	15
68.3	18
69.5	24

***

Number 4 is which compound?
SmHoFe8B2

***

Number 1 is which compound?
Li4TlTcO6